For FeSn2, the GGA-PBE geometry in OQMD gives the simulated powder X-ray diffraction pattern in this record (λ = 1.5418 Å (Cu Kα)).
Intensities are scaled so that the largest is 1000.

Top 10 peaks for 2θ from 10° to 80°, low angle first:
| (hkl) | 2θ/deg | Rel. int. |
| --- | --- | --- |
| 0 0 2 | 33.69 | 136 |
| 2 1 1 | 35.00 | 1000 |
| 2 2 0 | 38.94 | 61 |
| 1 1 2 | 39.06 | 174 |
| 3 1 0 | 43.75 | 273 |
| 2 0 2 | 43.87 | 213 |
| 4 1 1 | 60.93 | 163 |
| 2 1 3 | 61.11 | 208 |
| 4 0 2 | 67.19 | 94 |
| 3 3 2 | 70.60 | 174 |

Structural model:
abc: 6.5425 6.5425 5.3201
angles: 90.00 90.00 90.00
Space group I4/mcm (No. 140)
Inequivalent atoms, fractional coordinates:
Fe  0.0000  0.0000  0.2500 x4
Sn  0.1613  0.3387  0.0000 x8